Cs4H3I: computed PXRD pattern (Cu Kα (weighted mean of Kα1 and Kα2)), based on a DFT-relaxed cell (GGA-PBE, Alexandria).

Largest 12 diffraction maxima, by angle, 2θ from 15° to 90°:
20.8°, I 18; 21.9°, I 51; 22.5°, I 58; 24.3°, I 24; 24.8°, I 65; 26.1°, I 100; 30.0°, I 18; 36.3°, I 83; 38.0°, I 21; 45.9°, I 24; 58.0°, I 21; 60.1°, I 17

abc: 4.7329 7.1937 9.8247
angles: 90.00 90.00 90.00
Space group Pmmm (No. 47)
Unique sites:
Cs  0.0000  0.0000  0.0000 x1
Cs  0.0000  0.0000  0.5000 x1
Cs  0.5000  0.5000  0.2061 x2
H  0.0000  0.5000  0.0000 x1
H  0.5000  0.0000  0.2308 x2
I  0.0000  0.5000  0.5000 x1

Cs5HI4: computed PXRD pattern (Cu Kα (weighted mean of Kα1 and Kα2)), based on a DFT-relaxed cell (GGA-PBE, Alexandria).

Largest 12 diffraction maxima, by angle, 2θ from 15° to 90°:
23.0°, I 100; 23.4°, I 42; 32.8°, I 38; 33.1°, I 67; 40.7°, I 38; 47.0°, I 14; 53.0°, I 20; 53.2°, I 17; 53.8°, I 12; 58.7°, I 25; 74.2°, I 11; 83.0°, I 10

abc: 5.4666 5.4666 37.9683
angles: 90.00 90.00 90.00
Space group I4/mmm (No. 139)
Unique sites:
Cs  0.0000  0.0000  0.0000 x2
Cs  0.0000  0.0000  0.2000 x4
Cs  0.0000  0.0000  0.4103 x4
H  0.0000  0.0000  0.5000 x2
I  0.0000  0.0000  0.0978 x4
I  0.0000  0.0000  0.3038 x4

CsHI4: computed PXRD pattern (Cu Kα (weighted mean of Kα1 and Kα2)), based on a DFT-relaxed cell (GGA-PBE, Alexandria).

Largest 12 diffraction maxima, by angle, 2θ from 15° to 90°:
19.2°, I 33; 22.2°, I 100; 23.0°, I 61; 23.4°, I 57; 27.7°, I 33; 28.5°, I 20; 28.6°, I 30; 29.1°, I 31; 32.1°, I 21; 34.5°, I 17; 35.6°, I 22; 46.0°, I 17

abc: 7.8984 9.1199 9.2941
angles: 116.22 92.63 99.57
Space group P-1 (No. 2)
Unique sites:
Cs  0.1940  0.2357  0.3375 x2
H  0.3711  0.1966  0.8702 x2
I  0.1600  0.2088  0.8815 x2
I  0.2930  0.6815  0.7201 x2
I  0.3097  0.7349  0.4267 x2
I  0.3253  0.7860  0.1332 x2

Cs2ScHI6: computed PXRD pattern (Cu Kα (weighted mean of Kα1 and Kα2)), based on a DFT-relaxed cell (GGA-PBE, Alexandria).

Largest 12 diffraction maxima, by angle, 2θ from 15° to 90°:
26.4°, I 100; 27.5°, I 25; 32.0°, I 37; 42.7°, I 29; 45.9°, I 13; 48.0°, I 15; 53.8°, I 26; 54.4°, I 14; 66.8°, I 5; 68.6°, I 10; 76.2°, I 5; 82.8°, I 8

abc: 7.9029 7.9029 12.9533
angles: 90.00 90.00 90.00
Space group I4/mmm (No. 139)
Unique sites:
Cs  0.0000  0.5000  0.2500 x4
Sc  0.0000  0.0000  0.0000 x2
H  0.0000  0.0000  0.5000 x2
I  0.0000  0.0000  0.2213 x4
I  0.2371  0.2371  0.5000 x8

Cs2TbHI6: computed PXRD pattern (Cu Kα (weighted mean of Kα1 and Kα2)), based on a DFT-relaxed cell (GGA-PBE, Alexandria).

Largest 12 diffraction maxima, by angle, 2θ from 15° to 90°:
21.7°, I 19; 25.4°, I 27; 26.2°, I 100; 26.6°, I 66; 28.5°, I 40; 28.9°, I 20; 35.4°, I 18; 37.4°, I 26; 43.5°, I 24; 46.4°, I 18; 47.1°, I 21; 48.6°, I 15

abc: 8.1451 8.3852 8.3917
angles: 108.57 108.67 108.73
Space group P-1 (No. 2)
Unique sites:
Cs  0.0002  0.2295  0.2705 x2
Tb  0.5000  0.5000  0.0000 x1
H  0.5000  0.0000  0.5000 x1
I  0.0617  0.3273  0.8276 x2
I  0.3958  0.1360  0.6355 x2
I  0.4998  0.2780  0.2208 x2

What did the third record say?
CsHI4: computed PXRD pattern (Cu Kα (weighted mean of Kα1 and Kα2)), based on a DFT-relaxed cell (GGA-PBE, Alexandria).

Largest 12 diffraction maxima, by angle, 2θ from 15° to 90°:
19.2°, I 33; 22.2°, I 100; 23.0°, I 61; 23.4°, I 57; 27.7°, I 33; 28.5°, I 20; 28.6°, I 30; 29.1°, I 31; 32.1°, I 21; 34.5°, I 17; 35.6°, I 22; 46.0°, I 17

abc: 7.8984 9.1199 9.2941
angles: 116.22 92.63 99.57
Space group P-1 (No. 2)
Unique sites:
Cs  0.1940  0.2357  0.3375 x2
H  0.3711  0.1966  0.8702 x2
I  0.1600  0.2088  0.8815 x2
I  0.2930  0.6815  0.7201 x2
I  0.3097  0.7349  0.4267 x2
I  0.3253  0.7860  0.1332 x2

Copy entry 1 word for word.
Cs4H3I: computed PXRD pattern (Cu Kα (weighted mean of Kα1 and Kα2)), based on a DFT-relaxed cell (GGA-PBE, Alexandria).

Largest 12 diffraction maxima, by angle, 2θ from 15° to 90°:
20.8°, I 18; 21.9°, I 51; 22.5°, I 58; 24.3°, I 24; 24.8°, I 65; 26.1°, I 100; 30.0°, I 18; 36.3°, I 83; 38.0°, I 21; 45.9°, I 24; 58.0°, I 21; 60.1°, I 17

abc: 4.7329 7.1937 9.8247
angles: 90.00 90.00 90.00
Space group Pmmm (No. 47)
Unique sites:
Cs  0.0000  0.0000  0.0000 x1
Cs  0.0000  0.0000  0.5000 x1
Cs  0.5000  0.5000  0.2061 x2
H  0.0000  0.5000  0.0000 x1
H  0.5000  0.0000  0.2308 x2
I  0.0000  0.5000  0.5000 x1